Simulated PXRD pattern
Compound: TcOsRu
Radiation: Cu Kα, 1.54184 Å
Structure: DFT lattice parameters and positions (GGA-PBE)
Neutral-atom scattering factors, no anomalous dispersion.

Atomic structure:
a b c (Å): 3.859 11.538 3.850
angles (deg): 90.00 90.00 90.00
Space group Cmcm (No. 63)
Unique sites:
1 Tc 0.000 0.250 0.250 [4 per cell]
2 Os 0.000 0.084 0.750 [4 per cell]
3 Ru 0.000 0.418 0.750 [4 per cell]

Main lines, most intense first (10 to 80 degrees two-theta):
| index | 2θ/deg | I (rel.) |
| --- | --- | --- |
| 1 3 1 | 40.57 | 100 |
| 0 6 0 | 47.24 | 32 |
| 2 6 0 | 68.92 | 21 |
| 2 0 0 | 47.10 | 16 |
| 0 6 2 | 69.04 | 10 |
| 1 1 0 | 24.32 | 6 |
| 0 2 1 | 27.86 | 5 |
| 0 2 0 | 15.36 | 3 |
| 1 1 1 | 33.79 | 2 |
| 0 4 1 | 39.02 | 2 |